For AlCrCO, a crystal structure in Alexandria, relaxed with GGA+U gives the simulated powder diffraction line list in this record (Cu Kα X-rays).

Structure:
Cell lengths 5.4716, 3.1688, 10.0912 Å; angles 90.00, 100.31, 90.00 degrees
Space group C2/m (No. 12)
One atom of each set of equivalent atoms:
Al 0.2371 0.0000 0.2127 x4
Cr 0.0000 0.0000 0.5000 x2
Cr 0.0000 0.5000 0.0000 x2
C 0.1223 0.0000 0.8653 x4
O 0.2011 0.5000 0.6003 x4

Top 6 peaks for 2θ from 5° to 70°, low angle first:
- 17.87 deg, intensity 56, (0 0 2)
- 34.86 deg, intensity 100, (1 1 1)
- 34.96 deg, intensity 49, (2 0 -2)
- 40.89 deg, intensity 89, (2 0 2)
- 44.91 deg, intensity 23, (1 1 3)
- 58.38 deg, intensity 39, (3 1 -1)